# VCoGe2H
Simulated powder XRD pattern, Cu Kα (weighted mean of Kα1 and Kα2). Input: a cell relaxed with PBE.
Lines closer than 0.1° are merged.

Most intense lines, 10° ≤ 2θ ≤ 90°, sorted by position:
(1 0 0), d = 4.794 Å, 2θ = 18.51°, I = 100
(0 0 1), d = 4.133 Å, 2θ = 21.50°, I = 52
(1 1 1), d = 2.621 Å, 2θ = 34.21°, I = 90
(2 0 0), d = 2.397 Å, 2θ = 37.52°, I = 90
(2 0 1), d = 2.074 Å, 2θ = 43.65°, I = 32
(0 0 2), d = 2.066 Å, 2θ = 43.81°, I = 29
(2 2 0), d = 1.695 Å, 2θ = 54.10°, I = 30
(2 0 2), d = 1.565 Å, 2θ = 59.02°, I = 45
(3 1 1), d = 1.423 Å, 2θ = 65.59°, I = 26
(2 2 2), d = 1.311 Å, 2θ = 72.06°, I = 24

Structure:
```
data_VCoGe2H
_chemical_formula_sum 'V1 Co1 Ge2 H1'
_cell_length_a 4.7944
_cell_length_b 4.7944
_cell_length_c 4.1328
_cell_angle_alpha 90.00
_cell_angle_beta 90.00
_cell_angle_gamma 90.00
_space_group_name_H-M_alt 'P 4/m m m'
_space_group_IT_number 123
_space_group_name_Hall '-P 4 2'
loop_
_atom_site_label
_atom_site_type_symbol
_atom_site_fract_x
_atom_site_fract_y
_atom_site_fract_z
V1 V 0.0000 0.0000 0.0000
Co1 Co 0.0000 0.0000 0.5000
Ge1 Ge 0.0000 0.5000 0.0000
H1 H 0.5000 0.5000 0.5000
```


# Hf3CoGe3
Simulated powder XRD pattern, Cu Kα (weighted mean of Kα1 and Kα2). Input: a cell relaxed with PBE.
Lines closer than 0.1° are merged.

Most intense lines, 10° ≤ 2θ ≤ 90°, sorted by position:
(2 0 -4), d = 3.135 Å, 2θ = 28.47°, I = 24
(1 1 3), d = 2.557 Å, 2θ = 35.09°, I = 81
(1 1 -4), d = 2.526 Å, 2θ = 35.53°, I = 100
(3 1 -1), d = 2.504 Å, 2θ = 35.86°, I = 65
(4 0 -2), d = 2.468 Å, 2θ = 36.40°, I = 47
(3 1 -4), d = 2.222 Å, 2θ = 40.61°, I = 37
(0 0 6), d = 2.086 Å, 2θ = 43.37°, I = 23
(3 1 2), d = 2.080 Å, 2θ = 43.52°, I = 51
(0 2 0), d = 1.941 Å, 2θ = 46.80°, I = 52
(7 1 -3), d = 1.326 Å, 2θ = 71.10°, I = 27

Structure:
```
data_Hf3CoGe3
_chemical_formula_sum 'Hf12 Co4 Ge12'
_cell_length_a 9.8778
_cell_length_b 3.8820
_cell_length_c 13.3097
_cell_angle_alpha 90.00
_cell_angle_beta 109.86
_cell_angle_gamma 90.00
_space_group_name_H-M_alt 'C 1 2/m 1'
_space_group_IT_number 12
_space_group_name_Hall '-C 2y'
loop_
_atom_site_label
_atom_site_type_symbol
_atom_site_fract_x
_atom_site_fract_y
_atom_site_fract_z
Hf1 Hf 0.0154 0.0000 0.3800
Hf2 Hf 0.1037 0.0000 0.9219
Hf3 Hf 0.2381 0.0000 0.2340
Co1 Co 0.2371 0.5000 0.3817
Ge1 Ge 0.0163 0.5000 0.2359
Ge2 Ge 0.1240 0.5000 0.0762
Ge3 Ge 0.1479 0.5000 0.5364
```


# Hf3CoGe
Simulated powder XRD pattern, Cu Kα (weighted mean of Kα1 and Kα2). Input: a cell relaxed with PBE.
Lines closer than 0.1° are merged.

Most intense lines, 10° ≤ 2θ ≤ 90°, sorted by position:
(4 0 1), d = 3.211 Å, 2θ = 27.78°, I = 18
(4 0 -2), d = 2.639 Å, 2θ = 33.97°, I = 100
(3 1 1), d = 2.611 Å, 2θ = 34.35°, I = 53
(1 1 2), d = 2.499 Å, 2θ = 35.93°, I = 67
(6 0 0), d = 2.396 Å, 2θ = 37.54°, I = 36
(5 1 0), d = 2.208 Å, 2θ = 40.86°, I = 36
(4 0 3), d = 2.036 Å, 2θ = 44.51°, I = 18
(1 1 -3), d = 2.019 Å, 2θ = 44.89°, I = 27
(0 2 0), d = 1.725 Å, 2θ = 53.10°, I = 29
(4 2 -2), d = 1.444 Å, 2θ = 64.56°, I = 20

Structure:
```
data_Hf3CoGe
_chemical_formula_sum 'Hf12 Co4 Ge4'
_cell_length_a 14.3810
_cell_length_b 3.4487
_cell_length_c 7.5527
_cell_angle_alpha 90.00
_cell_angle_beta 91.56
_cell_angle_gamma 90.00
_space_group_name_H-M_alt 'C 1 2/m 1'
_space_group_IT_number 12
_space_group_name_Hall '-C 2y'
loop_
_atom_site_label
_atom_site_type_symbol
_atom_site_fract_x
_atom_site_fract_y
_atom_site_fract_z
Hf1 Hf 0.0604 0.0000 0.3176
Hf2 Hf 0.0882 0.5000 0.9067
Hf3 Hf 0.2170 0.0000 0.6579
Co1 Co 0.0837 0.5000 0.5679
Ge1 Ge 0.2063 0.0000 0.0877
```